1.
Structure and simulated X-ray powder pattern of Cs2Nb4S7 (a crystal structure in Alexandria, relaxed with PBE; Cu Kα (weighted mean of Kα1 and Kα2)).
No peak broadening, texture or thermal motion is included.

Top 12 peaks for 15 to 90 degrees two-theta, sorted by position:
2theta	d (Å)	I (rel.)
25.55	3.486	100.0
27.77	3.213	95.0
29.54	3.024	20.3
34.37	2.609	44.7
38.09	2.363	37.7
47.79	1.903	37.3
49.11	1.855	42.3
49.67	1.836	59.8
57.36	1.606	12.4
63.79	1.459	14.4
65.36	1.428	15.2
72.44	1.305	18.9

Atomic structure:
Cell: 6.4257 6.4257 8.9461 Å, 90.00 90.00 120.00°
Space group P-31m (No. 162)
Asymmetric unit:
Cs 0.3333 0.6667 0.0000 [2 per cell]
Nb 0.0000 0.0000 0.2617 [2 per cell]
Nb 0.3333 0.6667 0.5000 [2 per cell]
S 0.0000 0.0000 0.0000 [1 per cell]
S 0.0000 0.3506 0.3373 [6 per cell]

2.
Structure and simulated X-ray powder pattern of GaFeSb2 (a crystal structure in Alexandria, relaxed with PBE; Cu Kα (weighted mean of Kα1 and Kα2)).
No peak broadening, texture or thermal motion is included.

Top 12 peaks for 15 to 90 degrees two-theta, sorted by position:
2theta	d (Å)	I (rel.)
25.70	3.466	100.0
30.01	2.978	4.7
42.41	2.131	46.8
42.95	2.106	21.8
49.77	1.832	16.0
50.73	1.800	28.4
62.36	1.489	6.5
67.80	1.382	11.3
68.60	1.368	6.0
77.20	1.236	7.4
78.33	1.221	12.7
84.44	1.147	5.3

Atomic structure:
Cell: 5.956 5.956 12.209 Å, 90.00 90.00 90.00°
Space group I-42d (No. 122)
Asymmetric unit:
Ga 0.000 0.000 0.000 [4 per cell]
Fe 0.000 0.000 0.500 [4 per cell]
Sb 0.224 0.250 0.625 [8 per cell]

3.
Structure and simulated X-ray powder pattern of K2SrPS4 (a crystal structure in Alexandria, relaxed with PBE; Cu Kα (weighted mean of Kα1 and Kα2)).
No peak broadening, texture or thermal motion is included.

Top 12 peaks for 15 to 90 degrees two-theta, sorted by position:
2theta	d (Å)	I (rel.)
15.65	5.664	27.0
23.61	3.769	20.8
26.67	3.343	100.0
28.45	3.138	27.0
33.63	2.665	30.8
37.29	2.411	8.7
37.74	2.384	10.8
43.43	2.084	42.7
48.84	1.865	25.1
54.42	1.686	16.0
65.97	1.416	8.6
66.95	1.398	11.4

Atomic structure:
Cell: 7.537 7.537 8.584 Å, 90.00 90.00 90.00°
Space group I-4 (No. 82)
Asymmetric unit:
K 0.000 0.000 0.000 [2 per cell]
K 0.000 0.500 0.250 [2 per cell]
Sr 0.000 0.000 0.500 [2 per cell]
P 0.000 0.500 0.750 [2 per cell]
S 0.164 0.683 0.615 [8 per cell]